For AgPb3, a GGA-PBE-relaxed structure gives the computed X-ray powder pattern in this record (CuKα).
No peak broadening, texture or thermal motion is included.

The 10 most intense peaks (2θ from 5° to 70°), sorted by position:
| two_theta | d/Å | I_rel | h k l |
| --- | --- | --- | --- |
| 32.11 | 2.788 | 100 | 0 1 2 |
| 32.59 | 2.748 | 96 | 1 0 2 |
| 35.75 | 2.512 | 83 | 1 1 0 |
| 40.88 | 2.208 | 19 | 0 0 4 |
| 47.59 | 1.911 | 16 | 1 1 3 |
| 50.79 | 1.797 | 15 | 0 2 0 |
| 52.11 | 1.755 | 14 | 2 0 0 |
| 55.41 | 1.658 | 32 | 1 1 4 |
| 61.66 | 1.504 | 32 | 1 2 2 |
| 62.53 | 1.485 | 30 | 2 1 2 |

Structural model:
Cell: 3.5105 3.5950 8.8301 Å, 90.00 90.00 90.00°
Fractional positions:
Ag (0.0000, 0.0000, 0.0000)
Pb (0.0000, 0.0000, 0.5000)
Pb (0.5000, 0.5000, 0.2169)
Pb (0.5000, 0.5000, 0.7831)